Entry 1:
Starting from a DFT-relaxed cell (GGA-PBE, Alexandria), the powder diffraction line list of SrLiMgTl2 was calculated for Cu Kα X-rays.
Kinematic intensities with the Lorentz-polarization factor, no thermal factor.

Structural model:
abc: 5.749 7.012 6.846
angles: 90.00 90.00 90.00
Space group Pmma (No. 51)
Asymmetric unit:
Sr (0.250, 0.000, 0.222)
Li (0.000, 0.500, 0.000)
Mg (0.250, 0.500, 0.371)
Tl (0.250, 0.249, 0.727)

Peak list (8 most intense, 2θ from 15° to 90°, low angle first)
- 2θ = 20.2°, I 54, (1 0 1)
- 2θ = 25.4°, I 14, (0 2 0)
- 2θ = 26.0°, I 38, (0 0 2)
- 2θ = 31.1°, I 29, (2 0 0)
- 2θ = 32.7°, I 100, (1 2 1)
- 2θ = 41.0°, I 24, (2 0 2)
- 2θ = 50.3°, I 22, (1 2 3)
- 2θ = 56.3°, I 22, (3 2 1)

---

Entry 2:
Starting from a DFT-relaxed cell (GGA-PBE, Alexandria), the powder diffraction line list of Ba4PmNb3O12 was calculated for Cu Kα X-rays.
Kinematic intensities with the Lorentz-polarization factor, no thermal factor.

Structural model:
abc: 8.501 8.501 8.501
angles: 90.00 90.00 90.00
Space group Im-3m (No. 229)
Asymmetric unit:
Ba (0.250, 0.250, 0.250)
Pm (0.000, 0.000, 0.000)
Nb (0.000, 0.000, 0.500)
O (0.000, 0.000, 0.267)
O (0.000, 0.250, 0.500)

Peak list (8 most intense, 2θ from 15° to 90°, low angle first)
- 2θ = 29.7°, I 100, (2 2 0)
- 2θ = 36.6°, I 4, (2 2 2)
- 2θ = 42.5°, I 31, (4 0 0)
- 2θ = 52.8°, I 40, (4 2 2)
- 2θ = 61.7°, I 19, (4 4 0)
- 2θ = 70.0°, I 18, (6 2 0)
- 2θ = 77.9°, I 6, (4 4 4)
- 2θ = 85.5°, I 21, (6 4 2)

---

Entry 3:
Starting from a DFT-relaxed cell (GGA-PBE, Alexandria), the powder diffraction line list of Tb8Ge5Au was calculated for Cu Kα X-rays.
Kinematic intensities with the Lorentz-polarization factor, no thermal factor.

Structural model:
abc: 8.876 8.876 8.949
angles: 90.00 90.00 90.00
Space group I-4 (No. 82)
Asymmetric unit:
Tb (0.065, 0.181, 0.193)
Tb (0.070, 0.314, 0.564)
Ge (0.000, 0.000, 0.500)
Ge (0.127, 0.250, 0.877)
Au (0.000, 0.500, 0.250)

Peak list (8 most intense, 2θ from 15° to 90°, low angle first)
- 2θ = 28.3°, I 18, (2 0 2)
- 2θ = 31.6°, I 55, (1 0 3)
- 2θ = 31.9°, I 100, (3 1 0)
- 2θ = 37.7°, I 23, (2 1 3)
- 2θ = 37.9°, I 71, (2 3 1)
- 2θ = 48.0°, I 14, (3 2 3)
- 2θ = 50.3°, I 16, (2 4 2)
- 2θ = 52.6°, I 19, (3 4 1)

---

Entry 4:
Starting from a DFT-relaxed cell (GGA-PBE, Alexandria), the powder diffraction line list of TiAlPd4 was calculated for Cu Kα X-rays.
Kinematic intensities with the Lorentz-polarization factor, no thermal factor.

Structural model:
abc: 9.882 3.180 6.104
angles: 90.00 107.96 90.00
Space group C2/m (No. 12)
Asymmetric unit:
Ti (0.000, 0.000, 0.000)
Al (0.000, 0.000, 0.500)
Pd (0.148, 0.500, 0.331)
Pd (0.157, 0.500, 0.824)

Peak list (8 most intense, 2θ from 15° to 90°, low angle first)
- 2θ = 29.7°, I 29, (1 1 0)
- 2θ = 30.8°, I 26, (2 0 -2)
- 2θ = 40.4°, I 98, (3 1 0)
- 2θ = 41.0°, I 100, (1 1 -2)
- 2θ = 41.3°, I 91, (2 0 2)
- 2θ = 73.7°, I 32, (2 2 2)
- 2θ = 74.3°, I 25, (5 1 2)
- 2θ = 75.5°, I 29, (1 1 4)

---

Entry 5:
Starting from a DFT-relaxed cell (GGA-PBE, Alexandria), the powder diffraction line list of Y13Er3 was calculated for Cu Kα X-rays.
Kinematic intensities with the Lorentz-polarization factor, no thermal factor.

Structural model:
abc: 7.283 11.291 12.591
angles: 90.00 90.00 90.00
Space group Amm2 (No. 38)
Asymmetric unit:
Y (0.000, 0.000, 0.000)
Y (0.000, 0.000, 0.499)
Y (0.000, 0.248, 0.167)
Y (0.250, 0.000, 0.749)
Y (0.251, 0.249, 0.416)
Y (0.500, 0.000, 0.000)
Y (0.500, 0.249, 0.166)
Er (0.251, 0.000, 0.250)
Er (0.500, 0.000, 0.498)

Peak list (8 most intense, 2θ from 15° to 90°, low angle first)
- 2θ = 28.3°, I 25, (0 0 4)
- 2θ = 31.7°, I 24, (0 4 0)
- 2θ = 32.5°, I 100, (2 2 2)
- 2θ = 43.0°, I 16, (0 4 4)
- 2θ = 50.2°, I 13, (2 0 6)
- 2θ = 57.0°, I 20, (2 6 2)
- 2θ = 60.6°, I 22, (4 4 0)
- 2θ = 61.1°, I 16, (0 2 8)

---

Entry 6:
Starting from a DFT-relaxed cell (GGA-PBE, Alexandria), the powder diffraction line list of Zn5IrAu4 was calculated for Cu Kα X-rays.
Kinematic intensities with the Lorentz-polarization factor, no thermal factor.

Structural model:
abc: 3.094 3.094 16.473
angles: 90.00 90.00 90.00
Space group P4/mmm (No. 123)
Asymmetric unit:
Zn (0.000, 0.000, 0.000)
Zn (0.000, 0.000, 0.206)
Zn (0.000, 0.000, 0.412)
Ir (0.500, 0.500, 0.500)
Au (0.500, 0.500, 0.102)
Au (0.500, 0.500, 0.307)

Peak list (8 most intense, 2θ from 15° to 90°, low angle first)
- 2θ = 27.1°, I 15, (0 0 5)
- 2θ = 28.9°, I 26, (1 0 0)
- 2θ = 40.0°, I 100, (1 0 5)
- 2θ = 41.3°, I 47, (1 1 0)
- 2θ = 50.0°, I 12, (1 1 5)
- 2θ = 59.8°, I 16, (2 0 0)
- 2θ = 71.7°, I 16, (1 1 10)
- 2θ = 74.3°, I 32, (2 1 5)

---

Entry 7:
Starting from a DFT-relaxed cell (GGA-PBE, Alexandria), the powder diffraction line list of Pm4Sm2Mg was calculated for Cu Kα X-rays.
Kinematic intensities with the Lorentz-polarization factor, no thermal factor.

Structural model:
abc: 3.454 6.458 11.062
angles: 90.00 90.00 90.00
Space group P222 (No. 16)
Asymmetric unit:
Pm (0.184, 0.248, 0.270)
Sm (0.000, 0.000, 0.000)
Sm (0.500, 0.500, 0.000)
Mg (0.500, 0.000, 0.500)

Peak list (8 most intense, 2θ from 15° to 90°, low angle first)
- 2θ = 24.1°, I 26, (0 0 3)
- 2θ = 30.4°, I 100, (1 1 1)
- 2θ = 32.1°, I 82, (0 2 2)
- 2θ = 32.4°, I 35, (0 0 4)
- 2θ = 33.6°, I 17, (1 1 2)
- 2θ = 38.3°, I 45, (1 1 3)
- 2θ = 50.6°, I 22, (1 3 1)
- 2θ = 55.7°, I 19, (2 0 2)

---

Entry 8:
Starting from a DFT-relaxed cell (GGA-PBE, Alexandria), the powder diffraction line list of ScV4Tc was calculated for Cu Kα X-rays.
Kinematic intensities with the Lorentz-polarization factor, no thermal factor.

Structural model:
abc: 7.107 7.107 7.107
angles: 90.00 90.00 90.00
Space group F-43m (No. 216)
Asymmetric unit:
Sc (0.000, 0.000, 0.000)
V (0.125, 0.125, 0.375)
Tc (0.250, 0.250, 0.750)

Peak list (8 most intense, 2θ from 15° to 90°, low angle first)
- 2θ = 21.7°, I 7, (1 1 1)
- 2θ = 25.1°, I 8, (2 0 0)
- 2θ = 35.7°, I 40, (2 2 0)
- 2θ = 42.2°, I 100, (3 1 1)
- 2θ = 44.1°, I 29, (2 2 2)
- 2θ = 64.2°, I 13, (4 2 2)
- 2θ = 68.6°, I 28, (5 1 1)
- 2θ = 75.7°, I 22, (4 4 0)

---

Entry 9:
Starting from a DFT-relaxed cell (GGA-PBE, Alexandria), the powder diffraction line list of Zr5Si4 was calculated for Cu Kα X-rays.
Kinematic intensities with the Lorentz-polarization factor, no thermal factor.

Structural model:
abc: 7.156 7.156 13.080
angles: 90.00 90.00 90.00
Space group P4_12_12 (No. 92)
Asymmetric unit:
Zr (0.001, 0.146, 0.127)
Zr (0.001, 0.350, 0.535)
Zr (0.175, 0.825, 0.250)
Si (0.051, 0.699, 0.438)
Si (0.147, 0.205, 0.322)

Peak list (8 most intense, 2θ from 15° to 90°, low angle first)
- 2θ = 28.4°, I 29, (2 0 2)
- 2θ = 32.6°, I 37, (1 1 4)
- 2θ = 34.8°, I 78, (2 1 3)
- 2θ = 36.2°, I 100, (2 2 1)
- 2θ = 38.8°, I 73, (1 1 5)
- 2θ = 40.2°, I 72, (3 0 2)
- 2θ = 58.8°, I 33, (3 1 6)
- 2θ = 61.9°, I 26, (3 3 4)

---

Entry 10:
Starting from a DFT-relaxed cell (GGA-PBE, Alexandria), the powder diffraction line list of CeSm2TmCo2 was calculated for Cu Kα X-rays.
Kinematic intensities with the Lorentz-polarization factor, no thermal factor.

Structural model:
abc: 6.737 12.840 6.658
angles: 90.00 90.00 90.00
Space group Ibam (No. 72)
Asymmetric unit:
Ce (0.000, 0.000, 0.250)
Sm (0.216, 0.199, 0.000)
Tm (0.000, 0.500, 0.250)
Co (0.217, 0.094, 0.500)

Peak list (8 most intense, 2θ from 15° to 90°, low angle first)
- 2θ = 27.8°, I 22, (0 4 0)
- 2θ = 30.0°, I 91, (2 2 0)
- 2θ = 30.2°, I 96, (0 2 2)
- 2θ = 33.7°, I 77, (1 4 1)
- 2θ = 38.0°, I 100, (2 0 2)
- 2θ = 46.6°, I 24, (1 6 1)
- 2θ = 51.9°, I 22, (1 4 3)
- 2θ = 64.1°, I 21, (2 2 4)

---

Entry 11:
Starting from a DFT-relaxed cell (GGA-PBE, Alexandria), the powder diffraction line list of Tm2Zn7Cu was calculated for Cu Kα X-rays.
Kinematic intensities with the Lorentz-polarization factor, no thermal factor.

Structural model:
abc: 4.016 4.016 10.917
angles: 90.00 90.00 90.00
Space group P-4m2 (No. 115)
Asymmetric unit:
Tm (0.000, 0.500, 0.246)
Zn (0.000, 0.000, 0.000)
Zn (0.000, 0.000, 0.500)
Zn (0.000, 0.500, 0.642)
Zn (0.000, 0.500, 0.864)
Zn (0.500, 0.500, 0.500)
Cu (0.500, 0.500, 0.000)

Peak list (8 most intense, 2θ from 15° to 90°, low angle first)
- 2θ = 31.5°, I 18, (1 1 0)
- 2θ = 33.2°, I 61, (1 0 3)
- 2θ = 35.6°, I 100, (1 1 2)
- 2θ = 45.2°, I 47, (2 0 0)
- 2θ = 47.4°, I 36, (1 0 5)
- 2θ = 57.2°, I 26, (2 1 3)
- 2θ = 67.5°, I 24, (2 1 5)
- 2θ = 77.1°, I 20, (3 1 2)

---

Entry 12:
Starting from a DFT-relaxed cell (GGA-PBE, Alexandria), the powder diffraction line list of Pu2SiSbPt6 was calculated for Cu Kα X-rays.
Kinematic intensities with the Lorentz-polarization factor, no thermal factor.

Structural model:
abc: 5.554 8.516 8.750
angles: 90.00 90.00 90.00
Space group Pmmn (No. 59, origin choice 2)
Asymmetric unit:
Pu (0.250, 0.009, 0.239)
Si (0.250, 0.750, 0.743)
Sb (0.250, 0.250, 0.785)
Pt (0.003, 0.250, 0.492)
Pt (0.004, 0.750, 0.963)
Pt (0.250, 0.001, 0.611)

Peak list (8 most intense, 2θ from 15° to 90°, low angle first)
- 2θ = 28.3°, I 29, (1 2 1)
- 2θ = 29.3°, I 93, (0 2 2)
- 2θ = 33.5°, I 34, (1 2 2)
- 2θ = 38.4°, I 75, (2 0 2)
- 2θ = 38.7°, I 100, (2 2 0)
- 2θ = 40.9°, I 66, (1 2 3)
- 2θ = 42.5°, I 56, (0 4 0)
- 2θ = 58.6°, I 44, (2 4 2)